1.
# Sm8Ni2Ag
Simulated X-ray diffraction stick pattern, CuKα. Input: a cell relaxed with GGA-PBE.

Crystal structure
Lattice parameters (Å, degrees): 8.4718 13.3953 5.6603 90.00 105.26 90.00
Space group Cm (No. 8)
One atom of each set of equivalent atoms:
Sm1 0.0000 0.0000 0.0000 [2 per cell]
Sm2 0.0943 0.3732 0.7715 [4 per cell]
Sm3 0.1763 0.1269 0.6081 [4 per cell]
Sm4 0.2712 0.5000 0.3800 [2 per cell]
Sm5 0.3851 0.2402 0.1898 [4 per cell]
Ni1 0.3857 0.2979 0.6903 [4 per cell]
Ag1 0.3857 0.0000 0.1886 [2 per cell]

Principal peaks in the range 10° ≤ 2θ ≤ 90°, in order of rising 2θ:
- d = 2.923 Å, intensity 74.8, hkl 2 0 1
- d = 2.855 Å, intensity 100.0, hkl 0 4 1
- d = 2.762 Å, intensity 59.0, hkl 1 1 -2
- d = 2.687 Å, intensity 65.1, hkl 3 1 -1
- d = 2.590 Å, intensity 80.2, hkl 2 4 0
- d = 2.383 Å, intensity 31.5, hkl 1 5 -1
- d = 2.326 Å, intensity 23.1, hkl 3 3 0
- d = 1.740 Å, intensity 31.2, hkl 2 4 2
- d = 1.673 Å, intensity 30.0, hkl 0 8 0
- d = 1.622 Å, intensity 28.4, hkl 5 1 0
- d = 1.583 Å, intensity 24.6, hkl 4 0 -3
- d = 1.453 Å, intensity 24.1, hkl 2 8 1

***

2.
# Sm3Ni7Ag2
Simulated X-ray diffraction stick pattern, CuKα. Input: a cell relaxed with GGA-PBE.

Crystal structure
Lattice parameters (Å, degrees): 5.1699 5.1699 25.2702 90.00 90.00 120.00
Space group R-3m (No. 166, hexagonal axes)
One atom of each set of equivalent atoms:
Sm1 0.0000 0.0000 0.0000 [3 per cell]
Sm2 0.0000 0.0000 0.1391 [6 per cell]
Ni1 0.0000 0.0000 0.5000 [3 per cell]
Ni2 0.0014 0.5007 0.9123 [18 per cell]
Ag1 0.0000 0.0000 0.3335 [6 per cell]

Principal peaks in the range 10° ≤ 2θ ≤ 90°, in order of rising 2θ:
- d = 2.810 Å, intensity 32.4, hkl 0 0 9
- d = 2.584 Å, intensity 70.9, hkl 1 1 0
- d = 2.230 Å, intensity 22.5, hkl 0 2 1
- d = 2.203 Å, intensity 100.0, hkl 1 1 6
- d = 2.108 Å, intensity 24.1, hkl 0 0 12
- d = 2.046 Å, intensity 30.4, hkl 2 0 5
- d = 1.902 Å, intensity 8.4, hkl 1 1 9
- d = 1.492 Å, intensity 16.2, hkl 3 0 0
- d = 1.411 Å, intensity 16.0, hkl 1 1 15
- d = 1.406 Å, intensity 26.7, hkl 0 3 6
- d = 1.292 Å, intensity 18.8, hkl 2 2 0
- d = 1.102 Å, intensity 9.0, hkl 2 2 12

***

3.
# Sm2Ni2Ag
Simulated X-ray diffraction stick pattern, CuKα. Input: a cell relaxed with GGA-PBE.

Crystal structure
Lattice parameters (Å, degrees): 3.9676 14.0289 3.7385 90.00 90.00 90.00
Space group Cmmm (No. 65)
One atom of each set of equivalent atoms:
Sm1 0.0000 0.1345 0.0000 [4 per cell]
Ni1 0.0000 0.3003 0.5000 [4 per cell]
Ag1 0.0000 0.5000 0.5000 [2 per cell]

Principal peaks in the range 10° ≤ 2θ ≤ 90°, in order of rising 2θ:
- d = 3.025 Å, intensity 35.8, hkl 1 3 0
- d = 2.671 Å, intensity 100.0, hkl 1 1 1
- d = 2.558 Å, intensity 70.1, hkl 0 4 1
- d = 2.352 Å, intensity 32.3, hkl 1 3 1
- d = 2.291 Å, intensity 38.1, hkl 1 5 0
- d = 1.984 Å, intensity 25.1, hkl 2 0 0
- d = 1.869 Å, intensity 20.4, hkl 0 0 2
- d = 1.614 Å, intensity 14.6, hkl 1 7 1
- d = 1.590 Å, intensity 10.8, hkl 1 3 2
- d = 1.568 Å, intensity 30.6, hkl 2 4 1
- d = 1.448 Å, intensity 16.9, hkl 1 5 2
- d = 1.360 Å, intensity 13.9, hkl 2 0 2